Na4CaFe4P6O24: calculated powder diffractogram (Cu Kα, 1.54184 Å), based on a crystal structure in the Materials Project, relaxed with PBE+U.
Intensities are scaled so that the largest is 100.

Top 12 peaks for 2θ from 15° to 90°, sorted by position:
d (Å)  I (rel.)
5.639  77
3.604  27
3.109  51
2.910  41
2.820  51
2.792  28
2.759  100
2.567  21
2.553  34
2.114  27
1.852  18
1.616  26

```
data_Na4CaFe4P6O24
_chemical_formula_sum 'Na8 Ca2 Fe8 P12 O48'
_symmetry_space_group_name_H-M 'C 1 2 1'
_symmetry_Int_Tables_number 5
_symmetry_space_group_name_Hall 'C 2y'
_cell_length_a 12.3305
_cell_length_b 12.6564
_cell_length_c 6.4903
_cell_angle_alpha 90.00
_cell_angle_beta 113.84
_cell_angle_gamma 90.00
loop_
_atom_site_label
_atom_site_type_symbol
_atom_site_fract_x
_atom_site_fract_y
_atom_site_fract_z
_atom_site_occupancy
Na1 Na 0.0000 0.0000 0.0000 1
Na2 Na 0.0000 0.2734 0.0000 1
Na3 Na 0.0002 0.7705 0.2472 1
Ca1 Ca 0.0000 0.5301 0.5000 1
Fe1 Fe 0.2202 0.1118 0.8848 1
Fe2 Fe 0.2280 0.4232 0.3920 1
P1 P 0.0000 0.5435 0.0000 1
P2 P 0.0000 0.9927 0.5000 1
P3 P 0.2457 0.1641 0.3832 1
P4 P 0.2467 0.3699 0.8846 1
O1 O 0.0531 0.0621 0.7141 1
O2 O 0.0529 0.4705 0.2116 1
O3 O 0.0954 0.6157 0.9737 1
O4 O 0.0957 0.9176 0.4790 1
O5 O 0.1225 0.6785 0.5638 1
O6 O 0.1246 0.8533 0.0697 1
O7 O 0.1788 0.1065 0.1550 1
O8 O 0.1796 0.4298 0.6555 1
O9 O 0.1808 0.2637 0.8747 1
O10 O 0.1831 0.2723 0.3675 1
O11 O 0.2333 0.4410 0.0747 1
O12 O 0.2349 0.0937 0.5758 1
```